[1]
Structure and simulated XRD peak list of KAg3H3 (a crystal structure in Alexandria, relaxed with GGA-PBE; Cu Kα (λ = 1.5418 Å)).
Intensities are scaled so that the largest is 100.

Peak list (8 most intense, 10° ≤ 2θ ≤ 90°, by intensity)
two_theta  I_rel  index
13.30  100  1 0 0
33.05  82  2 0 1
45.24  36  3 0 1
40.72  27  1 2 1
38.59  19  0 0 2
26.78  18  2 0 0
35.67  18  1 2 0
74.20  13  3 2 2

```
data_KAg3H3
_chemical_formula_sum 'K2 Ag6 H6'
_cell_length_a 7.6890
_cell_length_b 7.6890
_cell_length_c 4.6659
_cell_angle_alpha 90.00
_cell_angle_beta 90.00
_cell_angle_gamma 120.00
_space_group_name_H-M_alt 'P 63/m'
_space_group_IT_number 176
_space_group_name_Hall '-P 6c'
loop_
_atom_site_label
_atom_site_fract_x
_atom_site_fract_y
_atom_site_fract_z
K1 0.3333 0.6667 0.2500
Ag1 0.1121 0.8623 0.7500
H1 0.0928 0.6312 0.7500
```



[2]
Structure and simulated XRD peak list of KAg2H4 (a crystal structure in Alexandria, relaxed with GGA-PBE; Cu Kα (λ = 1.5418 Å)).
Intensities are scaled so that the largest is 100.

Peak list (8 most intense, 10° ≤ 2θ ≤ 90°, by intensity)
two_theta  I_rel  index
29.24  100  0 1 1
11.95  92  0 0 1
33.05  40  1 0 -2
36.97  28  1 1 0
27.57  26  1 0 -1
35.29  22  1 -1 0
35.39  22  1 1 -1
38.20  21  0 1 2

```
data_KAg2H4
_chemical_formula_sum 'K1 Ag2 H4'
_cell_length_a 3.359
_cell_length_b 3.888
_cell_length_c 7.762
_cell_angle_alpha 104.44
_cell_angle_beta 99.57
_cell_angle_gamma 90.17
_space_group_name_H-M_alt 'P -1'
_space_group_IT_number 2
loop_
_space_group_symop_operation_xyz
'x,y,z'
'-x,-y,-z'
loop_
_atom_site_label
_atom_site_fract_x
_atom_site_fract_y
_atom_site_fract_z
K1 0.000 0.000 0.000
Ag1 0.197 0.312 0.624
H1 0.145 0.799 0.597
H2 0.487 0.420 0.836
```



[3]
Structure and simulated XRD peak list of K2NaAgH (a crystal structure in Alexandria, relaxed with GGA-PBE; Cu Kα (λ = 1.5418 Å)).
Intensities are scaled so that the largest is 100.

Peak list (8 most intense, 10° ≤ 2θ ≤ 90°, by intensity)
two_theta  I_rel  index
29.39  100  1 1 1
32.36  40  2 0 0
16.02  33  1 0 0
55.90  29  3 1 1
24.47  27  1 0 1
50.17  21  2 0 2
46.42  13  2 2 0
40.99  13  2 1 1

```
data_K2NaAgH
_chemical_formula_sum 'K2 Na1 Ag1 H1'
_cell_length_a 5.533
_cell_length_b 5.533
_cell_length_c 4.826
_cell_angle_alpha 90.00
_cell_angle_beta 90.00
_cell_angle_gamma 90.00
_space_group_name_H-M_alt 'P 4/m m m'
_space_group_IT_number 123
_space_group_name_Hall '-P 4 2'
loop_
_atom_site_label
_atom_site_fract_x
_atom_site_fract_y
_atom_site_fract_z
K1 0.000 0.500 0.000
Na1 0.000 0.000 0.500
Ag1 0.500 0.500 0.500
H1 0.000 0.000 0.000
```



[4]
Structure and simulated XRD peak list of K2NiAgH6 (a crystal structure in Alexandria, relaxed with GGA-PBE; Cu Kα (λ = 1.5418 Å)).
Intensities are scaled so that the largest is 100.

Peak list (8 most intense, 10° ≤ 2θ ≤ 90°, by intensity)
two_theta  I_rel  index
17.90  100  1 0 0
31.27  85  1 1 0
39.91  59  1 0 2
25.12  34  0 1 1
61.54  31  2 1 2
51.55  28  0 2 2
36.26  15  2 0 0
55.65  15  3 0 0

```
data_K2NiAgH6
_chemical_formula_sum 'K2 Ni1 Ag1 H6'
_cell_length_a 5.7210
_cell_length_b 5.7210
_cell_length_c 5.0765
_cell_angle_alpha 90.00
_cell_angle_beta 90.00
_cell_angle_gamma 120.00
_space_group_name_H-M_alt 'P -3 m 1'
_space_group_IT_number 164
_space_group_name_Hall '-P 3 2"'
loop_
_atom_site_label
_atom_site_fract_x
_atom_site_fract_y
_atom_site_fract_z
K1 0.3333 0.6667 0.2801
Ni1 0.0000 0.0000 0.5000
Ag1 0.0000 0.0000 0.0000
H1 0.1308 0.2617 0.6867
```



[5]
Structure and simulated XRD peak list of K2AgH6Pt (a crystal structure in Alexandria, relaxed with GGA-PBE; Cu Kα (λ = 1.5418 Å)).
Intensities are scaled so that the largest is 100.

Peak list (8 most intense, 10° ≤ 2θ ≤ 90°, by intensity)
two_theta  I_rel  index
17.94  100  1 0 0
31.34  54  1 1 0
38.07  50  1 0 2
60.30  26  2 1 2
50.10  23  0 2 2
36.35  17  2 0 0
48.73  15  2 1 0
24.45  14  1 0 1

```
data_K2AgH6Pt
_chemical_formula_sum 'K2 Ag1 H6 Pt1'
_cell_length_a 5.7085
_cell_length_b 5.7085
_cell_length_c 5.3833
_cell_angle_alpha 90.00
_cell_angle_beta 90.00
_cell_angle_gamma 120.00
_space_group_name_H-M_alt 'P -3 m 1'
_space_group_IT_number 164
_space_group_name_Hall '-P 3 2"'
loop_
_atom_site_label
_atom_site_fract_x
_atom_site_fract_y
_atom_site_fract_z
K1 0.3333 0.6667 0.2707
Ag1 0.0000 0.0000 0.0000
H1 0.1414 0.2829 0.6847
Pt1 0.0000 0.0000 0.5000
```



[6]
Structure and simulated XRD peak list of La2Ag2H (a crystal structure in Alexandria, relaxed with GGA-PBE; Cu Kα (λ = 1.5418 Å)).
Intensities are scaled so that the largest is 100.

Peak list (8 most intense, 10° ≤ 2θ ≤ 90°, by intensity)
two_theta  I_rel  index
32.43  100  1 1 1
34.68  42  2 0 0
60.75  32  3 1 1
56.38  20  2 0 2
49.86  15  2 2 0
43.00  11  0 0 2
67.91  11  2 2 2
72.13  9  1 1 3

```
data_La2Ag2H
_chemical_formula_sum 'La2 Ag2 H1'
_cell_length_a 5.173
_cell_length_b 5.173
_cell_length_c 4.207
_cell_angle_alpha 90.00
_cell_angle_beta 90.00
_cell_angle_gamma 90.00
_space_group_name_H-M_alt 'P 4/m m m'
_space_group_IT_number 123
_space_group_name_Hall '-P 4 2'
loop_
_atom_site_label
_atom_site_fract_x
_atom_site_fract_y
_atom_site_fract_z
La1 0.000 0.500 0.000
Ag1 0.000 0.000 0.500
Ag2 0.500 0.500 0.500
H1 0.000 0.000 0.000
```